Calculated X-ray powder pattern
Compound: FeOF
Radiation: copper Kα
Structure: a structure optimized by DFT (GGA+U)
Peak positions follow from Bragg's law for the DFT cell and can differ from measured ones.

Largest 10 diffraction maxima, in order of falling intensity, 2θ from 10° to 80°:
- 3.343 Å, 2θ = 26.67°, intensity 100, hkl 2 0 3
- 2.606 Å, 2θ = 34.41°, intensity 58, hkl 0 1 3
- 1.752 Å, 2θ = 52.21°, intensity 29, hkl 2 1 -6
- 1.750 Å, 2θ = 52.28°, intensity 29, hkl 4 1 -3
- 2.282 Å, 2θ = 39.48°, intensity 18, hkl 2 1 3
- 1.671 Å, 2θ = 54.93°, intensity 16, hkl 4 0 -6
- 1.415 Å, 2θ = 66.02°, intensity 13, hkl 2 2 -3
- 1.562 Å, 2θ = 59.14°, intensity 11, hkl 0 2 0
- 2.114 Å, 2θ = 42.77°, intensity 10, hkl 4 0 -3
- 1.405 Å, 2θ = 66.53°, intensity 10, hkl 6 1 0

Crystal structure
```
data_FeOF
_cell_length_a 9.443
_cell_length_b 3.124
_cell_length_c 14.201
_cell_angle_alpha 90.00
_cell_angle_beta 90.01
_cell_angle_gamma 90.00
_space_group_name_H-M_alt 'P 1 m 1'
_space_group_IT_number 6
_space_group_name_Hall 'P -2y'
loop_
_atom_site_label
_atom_site_type_symbol
_atom_site_fract_x
_atom_site_fract_y
_atom_site_fract_z
Fe1 Fe 0.000 0.000 0.000
Fe2 Fe 0.005 0.000 0.682
Fe3 Fe 0.234 0.500 0.847
Fe4 Fe 0.266 0.500 0.494
Fe5 Fe 0.283 0.500 0.166
Fe6 Fe 0.483 0.000 0.993
Fe7 Fe 0.495 0.000 0.335
Fe8 Fe 0.513 0.000 0.672
Fe9 Fe 0.761 0.500 0.527
Fe10 Fe 0.773 0.500 0.161
Fe11 Fe 0.784 0.500 0.841
Fe12 Fe 0.987 0.000 0.326
O1 O 0.110 0.500 0.736
O2 O 0.158 0.000 0.910
O3 O 0.359 0.000 0.105
O4 O 0.359 0.000 0.443
O5 O 0.409 0.500 0.276
O6 O 0.410 0.500 0.931
O7 O 0.650 0.000 0.576
O8 O 0.844 0.000 0.772
O9 O 0.859 0.000 0.108
O10 O 0.902 0.500 0.274
O11 O 0.907 0.500 0.946
O12 O 0.917 0.500 0.606
F1 F 0.099 0.500 0.402
F2 F 0.107 0.500 0.079
F3 F 0.158 0.000 0.240
F4 F 0.167 0.000 0.563
F5 F 0.362 0.000 0.766
F6 F 0.403 0.500 0.611
F7 F 0.595 0.500 0.741
F8 F 0.605 0.500 0.068
F9 F 0.613 0.500 0.403
F10 F 0.657 0.000 0.236
F11 F 0.658 0.000 0.904
F12 F 0.853 0.000 0.440
```